# 1
This entry pairs a crystal structure of ThUH8C8O20 with its theoretical powder X-ray diffraction pattern. Radiation: Cu Kα. Structure: a crystal structure in the Materials Project, relaxed with PBE.

Principal peaks in the range 2θ = 5–70°, in order of rising 2θ:
2θ = 16.0°, 5.550 Å, rel. 100
2θ = 16.2°, 5.464 Å, rel. 32
2θ = 27.7°, 3.221 Å, rel. 16
2θ = 28.1°, 3.171 Å, rel. 21
2θ = 30.9°, 2.898 Å, rel. 16
2θ = 32.3°, 2.775 Å, rel. 13
2θ = 33.4°, 2.686 Å, rel. 14
2θ = 38.8°, 2.318 Å, rel. 11
2θ = 43.4°, 2.084 Å, rel. 12
2θ = 49.3°, 1.850 Å, rel. 11

Unit cell a=6.978 b=6.978 c=9.612 alpha=90.00 beta=90.00 gamma=103.07
Fractional coordinates of all 38 atoms:
Th 0.000 0.000 0.000
U 0.500 0.500 0.500
H 0.139 0.710 0.453
H 0.211 0.637 0.953
H 0.290 0.861 0.547
H 0.363 0.789 0.047
H 0.637 0.211 0.047
H 0.710 0.139 0.547
H 0.789 0.363 0.953
H 0.861 0.290 0.453
C 0.156 0.267 0.284
C 0.235 0.347 0.781
C 0.267 0.156 0.716
C 0.347 0.235 0.219
C 0.653 0.765 0.219
C 0.733 0.844 0.716
C 0.765 0.653 0.781
C 0.844 0.733 0.284
O 0.002 0.802 0.220
O 0.143 0.334 0.896
O 0.173 0.362 0.398
O 0.198 0.998 0.780
O 0.235 0.765 0.000
O 0.266 0.734 0.500
O 0.305 0.503 0.715
O 0.334 0.143 0.104
O 0.362 0.173 0.602
O 0.497 0.695 0.285
O 0.503 0.305 0.285
O 0.638 0.827 0.602
O 0.666 0.857 0.104
O 0.695 0.497 0.715
O 0.734 0.266 0.500
O 0.765 0.235 0.000
O 0.802 0.002 0.780
O 0.827 0.638 0.398
O 0.857 0.666 0.896
O 0.998 0.198 0.220

***

# 2
This entry pairs a crystal structure of UH3CO6 with its theoretical powder X-ray diffraction pattern. Radiation: Cu Kα. Structure: a crystal structure in the Materials Project, relaxed with PBE.

Principal peaks in the range 2θ = 5–70°, in order of rising 2θ:
2θ = 14.3°, 6.189 Å, rel. 99
2θ = 15.8°, 5.622 Å, rel. 67
2θ = 17.6°, 5.035 Å, rel. 87
2θ = 19.4°, 4.586 Å, rel. 100
2θ = 22.2°, 4.005 Å, rel. 73
2θ = 22.9°, 3.891 Å, rel. 53
2θ = 23.4°, 3.800 Å, rel. 50
2θ = 27.9°, 3.197 Å, rel. 90
2θ = 31.8°, 2.810 Å, rel. 52
2θ = 36.4°, 2.471 Å, rel. 40

Unit cell a=5.683 b=6.272 c=7.842 alpha=85.69 beta=88.81 gamma=81.63
Fractional coordinates of all 22 atoms:
U 0.134 0.146 0.298
U 0.866 0.854 0.702
H 0.036 0.633 0.314
H 0.129 0.408 0.845
H 0.291 0.757 0.498
H 0.709 0.243 0.502
H 0.871 0.592 0.155
H 0.964 0.367 0.686
C 0.472 0.111 0.952
C 0.528 0.889 0.048
O 0.016 0.478 0.756
O 0.110 0.919 0.823
O 0.125 0.805 0.462
O 0.315 0.247 0.019
O 0.372 0.223 0.419
O 0.416 0.858 0.186
O 0.584 0.142 0.814
O 0.628 0.777 0.581
O 0.685 0.753 0.981
O 0.875 0.195 0.538
O 0.890 0.081 0.177
O 0.984 0.522 0.244

***

# 3
This entry pairs a crystal structure of UH4C4O10 with its theoretical powder X-ray diffraction pattern. Radiation: Cu Kα. Structure: a crystal structure in the Materials Project, relaxed with PBE.

Principal peaks in the range 2θ = 5–70°, in order of rising 2θ:
2θ = 16.1°, 5.497 Å, rel. 98
2θ = 16.3°, 5.450 Å, rel. 100
2θ = 16.8°, 5.285 Å, rel. 59
2θ = 18.4°, 4.822 Å, rel. 20
2θ = 27.9°, 3.199 Å, rel. 32
2θ = 28.8°, 3.099 Å, rel. 19
2θ = 29.0°, 3.074 Å, rel. 21
2θ = 30.8°, 2.904 Å, rel. 17
2θ = 33.9°, 2.646 Å, rel. 33
2θ = 39.1°, 2.303 Å, rel. 22

Unit cell a=6.799 b=6.799 c=9.645 alpha=90.65 beta=90.65 gamma=77.94
Fractional coordinates of all 38 atoms:
U 0.249 0.751 0.750
U 0.751 0.249 0.250
H 0.066 0.507 0.176
H 0.074 0.361 0.710
H 0.361 0.074 0.210
H 0.493 0.934 0.324
H 0.507 0.066 0.676
H 0.639 0.926 0.790
H 0.926 0.639 0.290
H 0.934 0.493 0.824
C 0.026 0.097 0.528
C 0.097 0.026 0.028
C 0.404 0.494 0.038
C 0.494 0.404 0.538
C 0.506 0.596 0.462
C 0.596 0.506 0.962
C 0.903 0.974 0.972
C 0.974 0.903 0.472
O 0.021 0.750 0.548
O 0.040 0.493 0.757
O 0.088 0.114 0.145
O 0.114 0.088 0.645
O 0.239 0.582 0.985
O 0.250 0.979 0.952
O 0.395 0.425 0.650
O 0.418 0.761 0.515
O 0.425 0.395 0.150
O 0.493 0.040 0.257
O 0.507 0.960 0.743
O 0.575 0.605 0.850
O 0.582 0.239 0.485
O 0.605 0.575 0.350
O 0.750 0.021 0.048
O 0.761 0.418 0.015
O 0.886 0.912 0.355
O 0.912 0.886 0.855
O 0.960 0.507 0.243
O 0.979 0.250 0.452

***

# 4
This entry pairs a crystal structure of YH2C2O6 with its theoretical powder X-ray diffraction pattern. Radiation: Cu Kα. Structure: a crystal structure in the Materials Project, relaxed with PBE.

Principal peaks in the range 2θ = 5–70°, in order of rising 2θ:
2θ = 11.7°, 7.584 Å, rel. 100
2θ = 12.7°, 6.969 Å, rel. 30
2θ = 18.4°, 4.811 Å, rel. 52
2θ = 20.9°, 4.250 Å, rel. 14
2θ = 29.4°, 3.040 Å, rel. 17
2θ = 31.7°, 2.825 Å, rel. 46
2θ = 36.9°, 2.439 Å, rel. 14
2θ = 45.8°, 1.980 Å, rel. 23
2θ = 47.5°, 1.916 Å, rel. 11
2θ = 49.8°, 1.832 Å, rel. 21

Unit cell a=8.539 b=8.539 c=9.623 alpha=90.00 beta=90.00 gamma=125.30
Fractional coordinates of all 44 atoms:
Y 0.207 0.793 0.250
Y 0.207 0.793 0.750
Y 0.793 0.207 0.250
Y 0.793 0.207 0.750
H 0.294 0.497 0.259
H 0.296 0.500 0.732
H 0.497 0.294 0.741
H 0.500 0.296 0.268
H 0.500 0.704 0.768
H 0.503 0.706 0.241
H 0.704 0.500 0.232
H 0.706 0.503 0.759
C 0.034 0.583 0.500
C 0.098 0.099 0.260
C 0.099 0.098 0.740
C 0.417 0.966 0.000
C 0.583 0.034 0.500
C 0.901 0.902 0.240
C 0.902 0.901 0.760
C 0.966 0.417 0.000
O 0.004 0.502 0.882
O 0.005 0.500 0.120
O 0.096 0.244 0.725
O 0.097 0.246 0.259
O 0.128 0.770 0.500
O 0.230 0.872 0.000
O 0.244 0.096 0.275
O 0.246 0.097 0.741
O 0.362 0.638 0.250
O 0.362 0.638 0.750
O 0.498 0.996 0.618
O 0.500 0.005 0.880
O 0.500 0.995 0.380
O 0.502 0.004 0.118
O 0.638 0.362 0.250
O 0.638 0.362 0.750
O 0.754 0.903 0.241
O 0.756 0.904 0.775
O 0.770 0.128 0.500
O 0.872 0.230 0.000
O 0.903 0.754 0.759
O 0.904 0.756 0.225
O 0.995 0.500 0.620
O 0.996 0.498 0.382

***

# 5
This entry pairs a crystal structure of ZnHC4O3 with its theoretical powder X-ray diffraction pattern. Radiation: Cu Kα. Structure: a crystal structure in the Materials Project, relaxed with PBE.

Principal peaks in the range 2θ = 5–70°, in order of rising 2θ:
2θ = 6.7°, 13.099 Å, rel. 100
2θ = 11.7°, 7.563 Å, rel. 35
2θ = 16.6°, 5.327 Å, rel. 3
2θ = 17.9°, 4.951 Å, rel. 7
2θ = 21.5°, 4.133 Å, rel. 4
2θ = 24.5°, 3.628 Å, rel. 3
2θ = 25.5°, 3.495 Å, rel. 3
2θ = 31.3°, 2.855 Å, rel. 2
2θ = 34.4°, 2.610 Å, rel. 2
2θ = 40.9°, 2.208 Å, rel. 2

Unit cell a=15.295 b=15.295 c=15.295 alpha=117.84 beta=117.84 gamma=117.84
Fractional coordinates of all 54 atoms:
Zn 0.115 0.788 0.523
Zn 0.212 0.477 0.885
Zn 0.477 0.885 0.212
Zn 0.523 0.115 0.788
Zn 0.788 0.523 0.115
Zn 0.885 0.212 0.477
H 0.181 0.650 0.626
H 0.350 0.374 0.819
H 0.374 0.819 0.350
H 0.626 0.181 0.650
H 0.650 0.626 0.181
H 0.819 0.350 0.374
C 0.030 0.131 0.562
C 0.086 0.621 0.171
C 0.131 0.562 0.030
C 0.171 0.086 0.621
C 0.190 0.757 0.360
C 0.195 0.209 0.678
C 0.209 0.678 0.195
C 0.243 0.640 0.810
C 0.322 0.805 0.791
C 0.360 0.190 0.757
C 0.379 0.829 0.914
C 0.438 0.970 0.869
C 0.562 0.030 0.131
C 0.621 0.171 0.086
C 0.640 0.810 0.243
C 0.678 0.195 0.209
C 0.757 0.360 0.190
C 0.791 0.322 0.805
C 0.805 0.791 0.322
C 0.810 0.243 0.640
C 0.829 0.914 0.379
C 0.869 0.438 0.970
C 0.914 0.379 0.829
C 0.970 0.869 0.438
O 0.073 0.265 0.633
O 0.084 0.718 0.345
O 0.092 0.467 0.619
O 0.265 0.633 0.073
O 0.282 0.655 0.916
O 0.345 0.084 0.718
O 0.367 0.927 0.735
O 0.381 0.908 0.533
O 0.467 0.619 0.092
O 0.533 0.381 0.908
O 0.619 0.092 0.467
O 0.633 0.073 0.265
O 0.655 0.916 0.282
O 0.718 0.345 0.084
O 0.735 0.367 0.927
O 0.908 0.533 0.381
O 0.916 0.282 0.655
O 0.927 0.735 0.367

***

# 6
This entry pairs a crystal structure of ZnH6C2O6 with its theoretical powder X-ray diffraction pattern. Radiation: Cu Kα. Structure: a crystal structure in the Materials Project, relaxed with PBE.

Principal peaks in the range 2θ = 5–70°, in order of rising 2θ:
2θ = 17.9°, 4.968 Å, rel. 100
2θ = 19.1°, 4.648 Å, rel. 43
2θ = 19.2°, 4.615 Å, rel. 72
2θ = 20.3°, 4.371 Å, rel. 28
2θ = 26.0°, 3.432 Å, rel. 18
2θ = 31.3°, 2.856 Å, rel. 18
2θ = 33.4°, 2.684 Å, rel. 28
2θ = 34.3°, 2.617 Å, rel. 30
2θ = 36.2°, 2.484 Å, rel. 15
2θ = 50.5°, 1.808 Å, rel. 16

Unit cell a=8.818 b=7.240 c=9.375 alpha=90.00 beta=97.50 gamma=90.00
Fractional coordinates of all 60 atoms:
Zn 0.000 0.000 0.000
Zn 0.000 0.500 0.500
Zn 0.500 0.000 0.500
Zn 0.500 0.500 0.000
H 0.030 0.151 0.277
H 0.030 0.349 0.777
H 0.180 0.024 0.610
H 0.180 0.476 0.110
H 0.195 0.099 0.235
H 0.195 0.401 0.735
H 0.263 0.603 0.452
H 0.263 0.897 0.952
H 0.284 0.112 0.990
H 0.284 0.388 0.490
H 0.443 0.699 0.721
H 0.443 0.801 0.221
H 0.557 0.199 0.779
H 0.557 0.301 0.279
H 0.716 0.612 0.510
H 0.716 0.888 0.010
H 0.737 0.103 0.048
H 0.737 0.397 0.548
H 0.805 0.599 0.265
H 0.805 0.901 0.765
H 0.820 0.524 0.890
H 0.820 0.976 0.390
H 0.970 0.651 0.223
H 0.970 0.849 0.723
C 0.180 0.618 0.067
C 0.180 0.882 0.567
C 0.456 0.227 0.226
C 0.456 0.273 0.726
C 0.544 0.727 0.274
C 0.544 0.773 0.774
C 0.820 0.118 0.433
C 0.820 0.382 0.933
O 0.067 0.720 0.084
O 0.067 0.780 0.584
O 0.087 0.120 0.196
O 0.087 0.380 0.696
O 0.219 0.023 0.929
O 0.219 0.477 0.429
O 0.294 0.667 0.004
O 0.294 0.833 0.504
O 0.397 0.101 0.295
O 0.397 0.399 0.795
O 0.406 0.227 0.597
O 0.406 0.273 0.097
O 0.594 0.727 0.903
O 0.594 0.773 0.403
O 0.603 0.601 0.205
O 0.603 0.899 0.705
O 0.706 0.167 0.496
O 0.706 0.333 0.996
O 0.781 0.523 0.571
O 0.781 0.977 0.071
O 0.913 0.620 0.304
O 0.913 0.880 0.804
O 0.933 0.220 0.416
O 0.933 0.280 0.916